# Li2VF6
Calculated powder diffraction line list, a wavelength of 1.5418 Å. Input: a structure optimized by DFT (GGA+U).

Principal peaks in the range 2θ = 15–90°, low angle first:
hkl	d/Å	two_theta	intensity
1 1 0	5.311	16.69	70
0 2 1	4.639	19.13	100
0 4 0	4.177	21.27	87
1 1 1	3.847	23.12	93
0 8 0	2.088	43.33	26
2 0 2	1.976	45.92	57

Cell and atoms:
```
data_Li2VF6
_chemical_formula_sum 'Li8 V4 F24'
_space_group_name_H-M_alt 'C m c m'
_space_group_IT_number 63
_space_group_name_Hall '-C 2c 2'
_cell_length_a 5.602
_cell_length_b 16.706
_cell_length_c 5.579
_cell_angle_alpha 90.00
_cell_angle_beta 90.00
_cell_angle_gamma 90.00
loop_
_atom_site_label
_atom_site_type_symbol
_atom_site_fract_x
_atom_site_fract_y
_atom_site_fract_z
Li1 Li 0.000 0.146 0.250
Li2 Li 0.000 0.150 0.750
V1 V 0.000 0.373 0.250
F1 F 0.000 0.262 0.250
F2 F 0.000 0.479 0.250
F3 F 0.244 0.132 0.518
```